Record 1
Structure and calculated powder XRD pattern of As2O3 (a structure optimized by DFT (GGA-PBE); copper Kα).
Neutral-atom scattering factors, no anomalous dispersion.

Largest 10 diffraction maxima, by angle, 2θ from 15° to 90°:
2theta  I_rel  (hkl)
16.60  100  1 0 1
21.62  18  0 0 2
25.10  59  1 0 2
27.62  47  2 0 1
30.46  75  2 1 1
35.98  23  1 2 2
40.61  18  3 1 0
41.81  34  2 0 3
51.93  20  2 3 2
58.65  22  4 1 2

Cell and atoms:
```
data_As2O3
_space_group_name_H-M_alt 'P 42/n'
_space_group_IT_number 86
_cell_length_a 7.025
_cell_length_b 7.025
_cell_length_c 8.222
_cell_angle_alpha 90.00
_cell_angle_beta 90.00
_cell_angle_gamma 90.00
loop_
_space_group_symop_operation_xyz
'x,y,z'
'-x,-y,-z'
'-y,x+1/2,z+1/2'
'y,-x+1/2,-z+1/2'
'-x+1/2,-y+1/2,z'
'x+1/2,y+1/2,-z'
'y+1/2,-x,z+1/2'
'-y+1/2,x,-z+1/2'
loop_
_atom_site_label
_atom_site_fract_x
_atom_site_fract_y
_atom_site_fract_z
As1 0.024 0.702 0.145
O1 0.067 0.408 0.668
O2 0.250 0.750 0.249
```



Record 2
Structure and calculated powder XRD pattern of Si3Os (a structure optimized by DFT (GGA-PBE); copper Kα).
Neutral-atom scattering factors, no anomalous dispersion.

Largest 10 diffraction maxima, by angle, 2θ from 15° to 90°:
2theta  I_rel  (hkl)
25.61  100  1 0 1
29.61  35  1 1 0
29.75  17  0 0 2
42.36  40  2 0 0
42.47  79  1 1 2
50.16  34  2 1 1
50.35  17  1 0 3
52.62  15  2 0 2
67.85  14  2 1 3
77.56  27  3 1 2

Cell and atoms:
```
data_Si3Os
_space_group_name_H-M_alt 'I 4/m m m'
_space_group_IT_number 139
_space_group_name_Hall '-I 4 2'
_cell_length_a 4.267
_cell_length_b 4.267
_cell_length_c 6.006
_cell_angle_alpha 90.00
_cell_angle_beta 90.00
_cell_angle_gamma 90.00
loop_
_atom_site_label
_atom_site_fract_x
_atom_site_fract_y
_atom_site_fract_z
Si1 0.000 0.000 0.000
Si2 0.000 0.500 0.250
Os1 0.000 0.000 0.500
```



Record 3
Structure and calculated powder XRD pattern of Mg3Mn (a structure optimized by DFT (GGA-PBE); copper Kα).
Neutral-atom scattering factors, no anomalous dispersion.

Largest 10 diffraction maxima, by angle, 2θ from 15° to 90°:
2theta  I_rel  (hkl)
22.63  13  1 1 1
26.19  7  2 0 0
37.38  100  2 2 0
44.14  6  3 1 1
46.22  2  2 2 2
53.90  16  4 0 0
59.19  2  3 3 1
60.89  2  4 2 0
67.43  31  4 2 2
79.72  9  4 4 0

Cell and atoms:
```
data_Mg3Mn
_space_group_name_H-M_alt 'F m -3 m'
_space_group_IT_number 225
_space_group_name_Hall '-F 4 2 3'
_cell_length_a 6.804
_cell_length_b 6.804
_cell_length_c 6.804
_cell_angle_alpha 90.00
_cell_angle_beta 90.00
_cell_angle_gamma 90.00
loop_
_atom_site_label
_atom_site_fract_x
_atom_site_fract_y
_atom_site_fract_z
Mg1 0.000 0.000 0.000
Mg2 0.250 0.250 0.250
Mn1 0.000 0.000 0.500
```



Record 4
Structure and calculated powder XRD pattern of NdP3H6O12 (a structure optimized by DFT (GGA-PBE); copper Kα).
Neutral-atom scattering factors, no anomalous dispersion.

Largest 10 diffraction maxima, by angle, 2θ from 15° to 90°:
2theta  I_rel  (hkl)
15.05  90  1 0 0
20.99  100  1 0 1
29.34  18  0 0 2
30.12  57  1 1 1
30.37  17  2 0 0
33.83  39  2 0 1
40.55  23  2 1 0
42.73  22  2 0 2
43.30  21  1 2 1
50.83  30  2 1 2

Cell and atoms:
```
data_NdP3H6O12
_space_group_name_H-M_alt 'P -6'
_space_group_IT_number 174
_cell_length_a 6.7965
_cell_length_b 6.7965
_cell_length_c 6.0891
_cell_angle_alpha 90.00
_cell_angle_beta 90.00
_cell_angle_gamma 120.00
loop_
_space_group_symop_operation_xyz
'x,y,z'
'-x+y,-x,-z'
'-y,x-y,z'
'x,y,-z'
'-x+y,-x,z'
'-y,x-y,-z'
loop_
_atom_site_label
_atom_site_fract_x
_atom_site_fract_y
_atom_site_fract_z
Nd1 0.0000 0.0000 0.0000
P1 0.1163 0.7304 0.5000
H1 0.5102 0.0673 0.1254
O1 0.0171 0.7508 0.2873
O2 0.0967 0.4832 0.5000
O3 0.4192 0.0645 0.0000
```



Question: Which formula does entry 2 have?
Answer: Si3Os